(1)
# Ac8Os3Au2
Simulated powder XRD pattern, a wavelength of 1.5418 Å. Input: DFT lattice parameters and positions (GGA-PBE).

Cell and atoms:
Unit cell a=8.397 b=8.397 c=7.584 alpha=90.03 beta=90.03 gamma=63.80
Fractional positions:
Ac (0.110, 0.110, 0.332)
Ac (0.127, 0.647, 0.173)
Ac (0.353, 0.873, 0.827)
Ac (0.386, 0.386, 0.647)
Ac (0.614, 0.614, 0.353)
Ac (0.647, 0.127, 0.173)
Ac (0.873, 0.353, 0.827)
Ac (0.890, 0.890, 0.668)
Os (0.000, 0.000, 0.000)
Os (0.258, 0.742, 0.500)
Os (0.742, 0.258, 0.500)
Au (0.257, 0.257, 0.000)
Au (0.743, 0.743, 0.000)

Top 10 peaks for 10 to 80 degrees two-theta, in order of rising 2θ:
2θ/deg, d_spacing, Rel. int.
17.07, 5.195, 22
26.42, 3.374, 100
26.63, 3.348, 50
34.37, 2.610, 79
34.54, 2.597, 38
40.67, 2.219, 26
41.09, 2.196, 51
44.89, 2.019, 24
49.27, 1.849, 19
54.39, 1.687, 21

=====

(2)
# Ac4PAu2
Simulated powder XRD pattern, a wavelength of 1.5418 Å. Input: DFT lattice parameters and positions (GGA-PBE).

Cell and atoms:
Unit cell a=5.885 b=5.885 c=15.142 alpha=90.00 beta=90.00 gamma=90.00
Fractional positions:
Ac (0.000, 0.000, 0.198)
Ac (0.000, 0.000, 0.802)
Ac (0.000, 0.500, 0.000)
Ac (0.000, 0.500, 0.500)
Ac (0.500, 0.000, 0.000)
Ac (0.500, 0.000, 0.500)
Ac (0.500, 0.500, 0.302)
Ac (0.500, 0.500, 0.698)
P (0.000, 0.000, 0.000)
P (0.500, 0.500, 0.500)
Au (0.000, 0.000, 0.399)
Au (0.000, 0.000, 0.601)
Au (0.500, 0.500, 0.101)
Au (0.500, 0.500, 0.899)

Top 10 peaks for 10 to 80 degrees two-theta, in order of rising 2θ:
2θ/deg, d_spacing, Rel. int.
21.35, 4.161, 25
24.41, 3.647, 83
30.38, 2.942, 100
31.96, 2.800, 40
33.27, 2.693, 69
43.50, 2.081, 38
45.67, 1.987, 58
50.50, 1.807, 24
54.98, 1.670, 20
64.90, 1.437, 21

=====

(3)
# AcPPd6Au
Simulated powder XRD pattern, a wavelength of 1.5418 Å. Input: DFT lattice parameters and positions (GGA-PBE).

Cell and atoms:
Unit cell a=8.434 b=8.434 c=8.434 alpha=140.05 beta=110.94 gamma=82.88
Fractional positions:
Ac (0.413, 0.163, 0.250)
Ac (0.587, 0.837, 0.750)
P (0.000, 0.500, 0.500)
P (0.500, 0.500, 0.000)
Pd (0.126, 0.386, 0.239)
Pd (0.126, 0.887, 0.740)
Pd (0.189, 0.939, 0.250)
Pd (0.296, 0.546, 0.750)
Pd (0.353, 0.113, 0.739)
Pd (0.353, 0.614, 0.240)
Pd (0.647, 0.386, 0.760)
Pd (0.647, 0.887, 0.261)
Pd (0.704, 0.454, 0.250)
Pd (0.811, 0.061, 0.750)
Pd (0.874, 0.113, 0.260)
Pd (0.874, 0.614, 0.761)
Au (0.000, 0.000, 0.500)
Au (0.000, 0.500, 0.000)

Top 10 peaks for 10 to 80 degrees two-theta, in order of rising 2θ:
2θ/deg, d_spacing, Rel. int.
26.20, 3.402, 34
33.24, 2.695, 76
33.67, 2.662, 69
34.00, 2.637, 56
34.20, 2.622, 29
36.41, 2.468, 76
37.63, 2.390, 100
43.26, 2.091, 34
46.70, 1.945, 96
58.38, 1.581, 26